Structure and computed powder diffractogram of TlSiHg2 (a DFT-relaxed cell (GGA-PBE, Alexandria); Cu Kα).
Lines closer than 0.1° are merged.

Crystal structure
```
TlSiHg2
1.0
3.4407 0.0000 0.0000
0.0000 4.2044 0.0000
0.0000 0.0000 7.2930
Tl Si Hg
1 1 2
Direct
0.0000 0.0000 0.0000 Tl
0.5000 0.5000 0.6364 Si
0.0000 0.0000 0.5705 Hg
0.5000 0.5000 0.2564 Hg
```

Main lines, in order of rising 2θ (10 to 90 degrees two-theta):
d [Å]	2θ (°)	I/Imax
3.643	24.43	52
3.112	28.69	27
2.755	32.50	83
2.663	33.66	100
2.502	35.89	68
2.431	36.98	20
2.102	43.02	27
1.795	50.86	36
1.610	57.23	36
1.504	61.65	14
1.459	63.79	27
1.378	68.06	17

***

Structure and computed powder diffractogram of TmSiHg (a DFT-relaxed cell (GGA-PBE, Alexandria); Cu Kα).
Lines closer than 0.1° are merged.

Crystal structure
```
TmSiHg
1.0
4.1449 0.0000 0.0000
0.0000 16.2109 0.0000
0.0000 0.0000 3.8274
Tm Si Hg
4 4 4
Direct
0.0000 0.0928 0.2500 Tm
0.0000 0.9072 0.7500 Tm
0.5000 0.4072 0.7500 Tm
0.5000 0.5928 0.2500 Tm
0.0000 0.4554 0.2500 Si
0.0000 0.5446 0.7500 Si
0.5000 0.0446 0.7500 Si
0.5000 0.9554 0.2500 Si
0.0000 0.2872 0.2500 Hg
0.0000 0.7128 0.7500 Hg
0.5000 0.2128 0.7500 Hg
0.5000 0.7872 0.2500 Hg
```

Main lines, in order of rising 2θ (10 to 90 degrees two-theta):
d [Å]	2θ (°)	I/Imax
8.105	10.92	23
2.783	32.17	38
2.771	32.31	100
2.554	35.14	57
2.207	40.88	25
2.072	43.68	20
1.914	47.51	16
1.662	55.27	17
1.531	60.45	24
1.511	61.36	15
1.406	66.50	12
1.216	78.67	11

***

Structure and computed powder diffractogram of YSiHg2 (a DFT-relaxed cell (GGA-PBE, Alexandria); Cu Kα).
Lines closer than 0.1° are merged.

Crystal structure
```
YSiHg2
1.0
4.2495 0.0000 0.0000
0.0000 5.3744 0.0000
-0.0479 0.0000 4.2618
Y Si Hg
1 1 2
Direct
0.0000 0.0000 0.0000 Y
0.5000 0.0000 0.5000 Si
0.2606 0.5000 0.7395 Hg
0.7394 0.5000 0.2605 Hg
```

Main lines, in order of rising 2θ (10 to 90 degrees two-theta):
d [Å]	2θ (°)	I/Imax
5.374	16.49	79
3.026	29.52	21
2.992	29.86	71
2.687	33.34	53
2.637	34.00	100
2.614	34.30	29
1.999	45.36	46
1.981	45.81	44
1.976	45.93	43
1.542	60.01	20
1.370	68.46	27
1.307	72.27	15

***

Structure and computed powder diffractogram of ZnSi4Hg (a DFT-relaxed cell (GGA-PBE, Alexandria); Cu Kα).
Lines closer than 0.1° are merged.

Crystal structure
```
ZnSi4Hg
1.0
0.0000 3.7411 3.7411
3.7411 0.0000 3.7411
3.7411 3.7411 0.0000
Zn Si Hg
1 4 1
Direct
0.0000 0.0000 0.0000 Zn
0.3741 0.3741 0.3741 Si
0.3741 0.3741 0.8776 Si
0.3741 0.8776 0.3741 Si
0.8776 0.3741 0.3741 Si
0.7500 0.7500 0.7500 Hg
```

Main lines, in order of rising 2θ (10 to 90 degrees two-theta):
d [Å]	2θ (°)	I/Imax
4.320	20.56	63
3.741	23.78	22
2.645	33.89	82
2.256	39.96	100
2.160	41.82	12
1.717	53.37	17
1.527	60.63	31
1.440	64.74	32
1.323	71.30	19
1.265	75.11	13
1.183	81.33	14
1.141	85.01	12

***

Structure and computed powder diffractogram of Sm3Hg7 (a DFT-relaxed cell (GGA-PBE, Alexandria); Cu Kα).
Lines closer than 0.1° are merged.

Crystal structure
```
Sm3Hg7
1.0
8.3423 -2.4955 0.0000
8.3423 2.4955 0.0000
-2.2002 0.0000 6.1350
Sm Hg
3 7
Direct
0.0000 0.0000 0.0000 Sm
0.2025 0.2025 0.6541 Sm
0.7975 0.7975 0.3459 Sm
0.0000 0.0000 0.5000 Hg
0.1959 0.1959 0.1402 Hg
0.3939 0.3939 0.1449 Hg
0.4035 0.4035 0.6537 Hg
0.5965 0.5965 0.3463 Hg
0.6061 0.6061 0.8551 Hg
0.8041 0.8041 0.8598 Hg
```

Main lines, in order of rising 2θ (10 to 90 degrees two-theta):
d [Å]	2θ (°)	I/Imax
2.707	33.09	66
2.659	33.70	100
2.496	35.99	36
2.439	36.86	25
2.098	43.12	16
1.744	52.46	18
1.606	57.38	14
1.571	58.80	8
1.478	62.87	11
1.470	63.24	17
1.439	64.78	9
1.329	70.90	10

***

Structure and computed powder diffractogram of Sm7Hg3 (a DFT-relaxed cell (GGA-PBE, Alexandria); Cu Kα).
Lines closer than 0.1° are merged.

Crystal structure
```
Sm7Hg3
1.0
10.4310 0.0000 0.0000
-5.2155 9.0335 0.0000
0.0000 0.0000 6.6061
Sm Hg
14 6
Direct
0.0641 0.5320 0.0000 Sm
0.1273 0.2545 0.7343 Sm
0.1273 0.8727 0.7343 Sm
0.2545 0.1273 0.2343 Sm
0.3333 0.6667 0.5808 Sm
0.4680 0.5320 0.0000 Sm
0.4680 0.9359 0.0000 Sm
0.5320 0.0641 0.5000 Sm
0.5320 0.4680 0.5000 Sm
0.6667 0.3333 0.0808 Sm
0.7455 0.8727 0.7343 Sm
0.8727 0.1273 0.2343 Sm
0.8727 0.7455 0.2343 Sm
0.9359 0.4680 0.5000 Sm
0.1965 0.3929 0.2898 Hg
0.1965 0.8035 0.2898 Hg
0.3929 0.1965 0.7898 Hg
0.6071 0.8035 0.2898 Hg
0.8035 0.1965 0.7898 Hg
0.8035 0.6071 0.7898 Hg
```

Main lines, in order of rising 2θ (10 to 90 degrees two-theta):
d [Å]	2θ (°)	I/Imax
3.102	28.78	29
3.033	29.45	72
3.011	29.67	24
2.740	32.68	100
2.666	33.61	74
2.608	34.39	59
2.374	37.90	29
2.138	42.26	20
1.978	45.87	25
1.889	48.17	25
1.509	61.44	28
1.413	66.13	26